Entry 1:
Diffraction record for CrO2. The powder XRD pattern is calculated, not measured: it uses a crystal structure in the Materials Project, relaxed with GGA+U and Cu Ka.

Lattice parameters (Å, degrees): 5.944 5.946 14.362 89.89 89.95 60.06
Sites, in units of the cell vectors:
Cr (0.000, 0.000, 0.000)
Cr (0.000, 0.000, 0.377)
Cr (0.175, 0.174, 0.165)
Cr (0.175, 0.649, 0.165)
Cr (0.333, 0.833, 0.832)
Cr (0.503, 0.502, 0.496)
Cr (0.504, 0.990, 0.500)
Cr (0.649, 0.174, 0.165)
Cr (0.669, 0.663, 0.667)
Cr (0.833, 0.331, 0.832)
Cr (0.834, 0.832, 0.832)
Cr (0.992, 0.503, 0.498)
O (0.000, 0.998, 0.248)
O (0.000, 0.998, 0.766)
O (0.018, 0.489, 0.224)
O (0.142, 0.142, 0.908)
O (0.142, 0.716, 0.909)
O (0.159, 0.158, 0.424)
O (0.159, 0.680, 0.426)
O (0.277, 0.861, 0.088)
O (0.333, 0.330, 0.551)
O (0.333, 0.332, 0.092)
O (0.384, 0.805, 0.578)
O (0.490, 0.017, 0.225)
O (0.490, 0.489, 0.224)
O (0.524, 0.521, 0.756)
O (0.525, 0.949, 0.755)
O (0.666, 0.666, 0.898)
O (0.667, 0.667, 0.428)
O (0.680, 0.158, 0.425)
O (0.716, 0.141, 0.909)
O (0.809, 0.380, 0.577)
O (0.810, 0.806, 0.578)
O (0.861, 0.277, 0.088)
O (0.861, 0.861, 0.089)
O (0.953, 0.522, 0.755)

Main lines, sorted by position (15° ≤ 2θ ≤ 90°):
Position (°2θ), Rel. int.
18.3, 100
18.5, 68
21.2, 20
35.4, 32
35.5, 35
35.8, 17
43.2, 56
43.3, 28
62.5, 28
63.2, 17

=====

Entry 2:
Diffraction record for Li2Mn5Fe2O12. The powder XRD pattern is calculated, not measured: it uses a crystal structure in the Materials Project, relaxed with GGA+U and Cu Ka.

Lattice parameters (Å, degrees): 5.979 5.979 13.695 102.45 102.45 89.95
Sites, in units of the cell vectors:
Li (0.128, 0.872, 0.500)
Li (0.197, 0.464, 0.661)
Li (0.464, 0.197, 0.161)
Li (0.872, 0.128, 0.000)
Mn (0.002, 0.004, 0.253)
Mn (0.004, 0.002, 0.753)
Mn (0.006, 0.497, 0.251)
Mn (0.170, 0.669, 0.082)
Mn (0.328, 0.335, 0.911)
Mn (0.335, 0.328, 0.411)
Mn (0.497, 0.006, 0.751)
Mn (0.668, 0.669, 0.081)
Mn (0.669, 0.170, 0.582)
Mn (0.669, 0.668, 0.581)
Fe (0.334, 0.842, 0.913)
Fe (0.541, 0.801, 0.331)
Fe (0.801, 0.541, 0.831)
Fe (0.842, 0.334, 0.413)
O (0.060, 0.081, 0.401)
O (0.081, 0.060, 0.901)
O (0.093, 0.545, 0.403)
O (0.106, 0.578, 0.914)
O (0.221, 0.242, 0.759)
O (0.225, 0.752, 0.253)
O (0.242, 0.221, 0.259)
O (0.249, 0.792, 0.753)
O (0.410, 0.882, 0.068)
O (0.413, 0.443, 0.067)
O (0.443, 0.413, 0.567)
O (0.458, 0.927, 0.598)
O (0.545, 0.093, 0.903)
O (0.578, 0.106, 0.414)
O (0.582, 0.605, 0.911)
O (0.605, 0.582, 0.411)
O (0.752, 0.225, 0.753)
O (0.759, 0.776, 0.249)
O (0.776, 0.759, 0.749)
O (0.792, 0.249, 0.253)
O (0.882, 0.410, 0.568)
O (0.899, 0.930, 0.601)
O (0.927, 0.458, 0.098)
O (0.930, 0.899, 0.101)

Main lines, sorted by position (15° ≤ 2θ ≤ 90°):
Position (°2θ), Rel. int.
18.0, 100
34.4, 40
35.1, 77
41.5, 27
42.8, 48
55.0, 14
56.5, 19
61.0, 11
61.2, 23
62.1, 22

=====

Entry 3:
Diffraction record for Li8VO5F. The powder XRD pattern is calculated, not measured: it uses a crystal structure in the Materials Project, relaxed with GGA+U and Cu Ka.

Lattice parameters (Å, degrees): 5.420 5.449 5.952 90.67 116.35 118.29
Sites, in units of the cell vectors:
Li (0.000, 0.000, 0.000)
Li (0.035, 0.170, 0.643)
Li (0.171, 0.437, 0.352)
Li (0.414, 0.888, 0.642)
Li (0.525, 0.135, 0.352)
Li (0.592, 0.332, 0.952)
Li (0.689, 0.548, 0.631)
Li (0.870, 0.744, 0.347)
V (0.253, 0.631, 0.974)
O (0.123, 0.882, 0.752)
O (0.141, 0.747, 0.228)
O (0.413, 0.555, 0.744)
O (0.435, 0.419, 0.223)
O (0.795, 0.257, 0.749)
F (0.784, 0.055, 0.251)

Main lines, sorted by position (15° ≤ 2θ ≤ 90°):
Position (°2θ), Rel. int.
17.3, 76
19.3, 64
19.6, 73
19.8, 66
21.7, 57
22.0, 59
36.3, 100
37.5, 83
37.9, 84
49.0, 56

=====

Please write out number 1 again, unchanged.
Diffraction record for CrO2. The powder XRD pattern is calculated, not measured: it uses a crystal structure in the Materials Project, relaxed with GGA+U and Cu Ka.

Lattice parameters (Å, degrees): 5.944 5.946 14.362 89.89 89.95 60.06
Sites, in units of the cell vectors:
Cr (0.000, 0.000, 0.000)
Cr (0.000, 0.000, 0.377)
Cr (0.175, 0.174, 0.165)
Cr (0.175, 0.649, 0.165)
Cr (0.333, 0.833, 0.832)
Cr (0.503, 0.502, 0.496)
Cr (0.504, 0.990, 0.500)
Cr (0.649, 0.174, 0.165)
Cr (0.669, 0.663, 0.667)
Cr (0.833, 0.331, 0.832)
Cr (0.834, 0.832, 0.832)
Cr (0.992, 0.503, 0.498)
O (0.000, 0.998, 0.248)
O (0.000, 0.998, 0.766)
O (0.018, 0.489, 0.224)
O (0.142, 0.142, 0.908)
O (0.142, 0.716, 0.909)
O (0.159, 0.158, 0.424)
O (0.159, 0.680, 0.426)
O (0.277, 0.861, 0.088)
O (0.333, 0.330, 0.551)
O (0.333, 0.332, 0.092)
O (0.384, 0.805, 0.578)
O (0.490, 0.017, 0.225)
O (0.490, 0.489, 0.224)
O (0.524, 0.521, 0.756)
O (0.525, 0.949, 0.755)
O (0.666, 0.666, 0.898)
O (0.667, 0.667, 0.428)
O (0.680, 0.158, 0.425)
O (0.716, 0.141, 0.909)
O (0.809, 0.380, 0.577)
O (0.810, 0.806, 0.578)
O (0.861, 0.277, 0.088)
O (0.861, 0.861, 0.089)
O (0.953, 0.522, 0.755)

Main lines, sorted by position (15° ≤ 2θ ≤ 90°):
Position (°2θ), Rel. int.
18.3, 100
18.5, 68
21.2, 20
35.4, 32
35.5, 35
35.8, 17
43.2, 56
43.3, 28
62.5, 28
63.2, 17

=====

Copy entry 3 word for word.
Diffraction record for Li8VO5F. The powder XRD pattern is calculated, not measured: it uses a crystal structure in the Materials Project, relaxed with GGA+U and Cu Ka.

Lattice parameters (Å, degrees): 5.420 5.449 5.952 90.67 116.35 118.29
Sites, in units of the cell vectors:
Li (0.000, 0.000, 0.000)
Li (0.035, 0.170, 0.643)
Li (0.171, 0.437, 0.352)
Li (0.414, 0.888, 0.642)
Li (0.525, 0.135, 0.352)
Li (0.592, 0.332, 0.952)
Li (0.689, 0.548, 0.631)
Li (0.870, 0.744, 0.347)
V (0.253, 0.631, 0.974)
O (0.123, 0.882, 0.752)
O (0.141, 0.747, 0.228)
O (0.413, 0.555, 0.744)
O (0.435, 0.419, 0.223)
O (0.795, 0.257, 0.749)
F (0.784, 0.055, 0.251)

Main lines, sorted by position (15° ≤ 2θ ≤ 90°):
Position (°2θ), Rel. int.
17.3, 76
19.3, 64
19.6, 73
19.8, 66
21.7, 57
22.0, 59
36.3, 100
37.5, 83
37.9, 84
49.0, 56